# KDyMo2O8
Calculated X-ray powder pattern, CuKα. Input: the PBE+U geometry in Alexandria.
Peak positions follow from Bragg's law for the DFT cell and can differ from measured ones.

Structural model:
a b c (Å): 5.139 18.905 8.069
angles (deg): 90.00 90.00 90.00
Atoms (fractional coordinates):
K (0.000, 0.225, 0.250)
K (0.000, 0.775, 0.750)
K (0.500, 0.275, 0.750)
K (0.500, 0.725, 0.250)
Dy (0.000, 0.004, 0.750)
Dy (0.000, 0.996, 0.250)
Dy (0.500, 0.496, 0.250)
Dy (0.500, 0.504, 0.750)
Mo (0.022, 0.400, 0.509)
Mo (0.022, 0.600, 0.009)
Mo (0.478, 0.100, 0.009)
Mo (0.478, 0.900, 0.509)
Mo (0.522, 0.100, 0.491)
Mo (0.522, 0.900, 0.991)
Mo (0.978, 0.400, 0.991)
Mo (0.978, 0.600, 0.491)
O (0.100, 0.313, 0.986)
O (0.100, 0.687, 0.486)
O (0.234, 0.405, 0.333)
O (0.234, 0.595, 0.833)
O (0.242, 0.408, 0.685)
O (0.242, 0.592, 0.185)
O (0.247, 0.035, 0.503)
O (0.247, 0.965, 0.003)
O (0.253, 0.465, 0.003)
O (0.253, 0.535, 0.503)
O (0.258, 0.092, 0.185)
O (0.258, 0.908, 0.685)
O (0.266, 0.095, 0.833)
O (0.266, 0.905, 0.333)
O (0.400, 0.187, 0.486)
O (0.400, 0.813, 0.986)
O (0.600, 0.187, 0.014)
O (0.600, 0.813, 0.514)
O (0.734, 0.095, 0.667)
O (0.734, 0.905, 0.167)
O (0.742, 0.092, 0.315)
O (0.742, 0.908, 0.815)
O (0.747, 0.465, 0.497)
O (0.747, 0.535, 0.997)
O (0.753, 0.035, 0.997)
O (0.753, 0.965, 0.497)
O (0.758, 0.408, 0.815)
O (0.758, 0.592, 0.315)
O (0.766, 0.405, 0.167)
O (0.766, 0.595, 0.667)
O (0.900, 0.313, 0.514)
O (0.900, 0.687, 0.014)

Peak list (8 most intense, 2θ = 10–90°, in order of falling intensity)
| index | Position (°2θ) | Rel. int. |
| --- | --- | --- |
| 1 1 2 | 28.5 | 100 |
| 1 5 0 | 29.3 | 56 |
| 1 3 0 | 22.3 | 44 |
| 2 4 2 | 46.1 | 40 |
| 0 4 2 | 29.1 | 39 |
| 2 6 2 | 51.2 | 19 |
| 1 9 2 | 52.2 | 19 |
| 1 5 4 | 54.6 | 18 |

=====

# Sr3NbCoO7
Calculated X-ray powder pattern, CuKα. Input: the PBE+U geometry in Alexandria.
Peak positions follow from Bragg's law for the DFT cell and can differ from measured ones.

Structural model:
a b c (Å): 7.938 8.889 11.105
angles (deg): 94.61 100.31 116.48
Atoms (fractional coordinates):
Sr (0.000, 0.000, 0.000)
Sr (0.029, 0.681, 0.749)
Sr (0.147, 0.093, 0.420)
Sr (0.248, 0.493, 0.000)
Sr (0.278, 0.184, 0.750)
Sr (0.404, 0.598, 0.417)
Sr (0.493, 0.985, 0.999)
Sr (0.527, 0.680, 0.749)
Sr (0.662, 0.104, 0.420)
Sr (0.748, 0.494, 0.000)
Sr (0.779, 0.178, 0.749)
Sr (0.905, 0.598, 0.421)
Nb (0.191, 0.790, 0.186)
Nb (0.443, 0.289, 0.186)
Nb (0.693, 0.789, 0.186)
Nb (0.940, 0.290, 0.186)
Co (0.096, 0.391, 0.597)
Co (0.345, 0.893, 0.595)
Co (0.595, 0.391, 0.595)
Co (0.846, 0.893, 0.598)
O (0.058, 0.538, 0.175)
O (0.078, 0.887, 0.583)
O (0.132, 0.740, 0.989)
O (0.178, 0.445, 0.780)
O (0.197, 0.295, 0.195)
O (0.223, 0.654, 0.576)
O (0.241, 0.837, 0.365)
O (0.314, 0.036, 0.174)
O (0.323, 0.386, 0.567)
O (0.347, 0.239, 0.990)
O (0.426, 0.950, 0.778)
O (0.441, 0.786, 0.191)
O (0.462, 0.138, 0.573)
O (0.533, 0.332, 0.364)
O (0.567, 0.536, 0.173)
O (0.597, 0.885, 0.570)
O (0.604, 0.742, 0.990)
O (0.653, 0.430, 0.779)
O (0.679, 0.280, 0.155)
O (0.702, 0.620, 0.575)
O (0.775, 0.829, 0.364)
O (0.812, 0.038, 0.178)
O (0.854, 0.391, 0.585)
O (0.889, 0.242, 0.990)
O (0.902, 0.927, 0.781)
O (0.934, 0.787, 0.160)
O (0.963, 0.137, 0.576)
O (0.986, 0.339, 0.363)

Peak list (8 most intense, 2θ = 10–90°, in order of falling intensity)
| index | Position (°2θ) | Rel. int. |
| --- | --- | --- |
| 2 -1 2 | 30.6 | 100 |
| 2 1 -1 | 31.8 | 62 |
| 4 0 1 | 56.0 | 28 |
| 0 4 -1 | 45.6 | 19 |
| -4 2 1 | 45.7 | 19 |
| 0 0 5 | 42.1 | 15 |
| 2 1 4 | 53.7 | 12 |
| 4 -6 0 | 66.6 | 11 |

=====

What did the first record say?
# KDyMo2O8
Calculated X-ray powder pattern, CuKα. Input: the PBE+U geometry in Alexandria.
Peak positions follow from Bragg's law for the DFT cell and can differ from measured ones.

Structural model:
a b c (Å): 5.139 18.905 8.069
angles (deg): 90.00 90.00 90.00
Atoms (fractional coordinates):
K (0.000, 0.225, 0.250)
K (0.000, 0.775, 0.750)
K (0.500, 0.275, 0.750)
K (0.500, 0.725, 0.250)
Dy (0.000, 0.004, 0.750)
Dy (0.000, 0.996, 0.250)
Dy (0.500, 0.496, 0.250)
Dy (0.500, 0.504, 0.750)
Mo (0.022, 0.400, 0.509)
Mo (0.022, 0.600, 0.009)
Mo (0.478, 0.100, 0.009)
Mo (0.478, 0.900, 0.509)
Mo (0.522, 0.100, 0.491)
Mo (0.522, 0.900, 0.991)
Mo (0.978, 0.400, 0.991)
Mo (0.978, 0.600, 0.491)
O (0.100, 0.313, 0.986)
O (0.100, 0.687, 0.486)
O (0.234, 0.405, 0.333)
O (0.234, 0.595, 0.833)
O (0.242, 0.408, 0.685)
O (0.242, 0.592, 0.185)
O (0.247, 0.035, 0.503)
O (0.247, 0.965, 0.003)
O (0.253, 0.465, 0.003)
O (0.253, 0.535, 0.503)
O (0.258, 0.092, 0.185)
O (0.258, 0.908, 0.685)
O (0.266, 0.095, 0.833)
O (0.266, 0.905, 0.333)
O (0.400, 0.187, 0.486)
O (0.400, 0.813, 0.986)
O (0.600, 0.187, 0.014)
O (0.600, 0.813, 0.514)
O (0.734, 0.095, 0.667)
O (0.734, 0.905, 0.167)
O (0.742, 0.092, 0.315)
O (0.742, 0.908, 0.815)
O (0.747, 0.465, 0.497)
O (0.747, 0.535, 0.997)
O (0.753, 0.035, 0.997)
O (0.753, 0.965, 0.497)
O (0.758, 0.408, 0.815)
O (0.758, 0.592, 0.315)
O (0.766, 0.405, 0.167)
O (0.766, 0.595, 0.667)
O (0.900, 0.313, 0.514)
O (0.900, 0.687, 0.014)

Peak list (8 most intense, 2θ = 10–90°, in order of falling intensity)
| index | Position (°2θ) | Rel. int. |
| --- | --- | --- |
| 1 1 2 | 28.5 | 100 |
| 1 5 0 | 29.3 | 56 |
| 1 3 0 | 22.3 | 44 |
| 2 4 2 | 46.1 | 40 |
| 0 4 2 | 29.1 | 39 |
| 2 6 2 | 51.2 | 19 |
| 1 9 2 | 52.2 | 19 |
| 1 5 4 | 54.6 | 18 |